This entry pairs a crystal structure of SrAgTeO with its computed powder diffraction line list. Radiation: a wavelength of 1.5418 Å. Structure: a cell relaxed with GGA-PBE.

Top 6 peaks for 2θ from 5° to 70°, most intense first:
hkl  Position (°2θ)  intensity
2 1 1  30.96  100
1 2 1  30.70  96
1 1 2  29.59  77
0 2 1  27.82  65
1 2 2  37.03  63
1 1 3  39.92  62

Atomic structure:
```
SrAgTeO
1.0
6.9576 0.0000 0.0000
0.0000 7.0721 0.0000
0.0000 0.0000 7.6102
Sr Ag Te O
4 4 4 4
direct
0.1327 0.1202 0.3783
0.3673 0.8798 0.8783
0.6327 0.3798 0.6217
0.8673 0.6202 0.1217
0.0758 0.5831 0.5331
0.4242 0.4169 0.0331
0.5758 0.9169 0.4669
0.9242 0.0831 0.9669
0.1398 0.3473 0.8102
0.3602 0.6527 0.3102
0.6398 0.1527 0.1898
0.8602 0.8473 0.6898
0.1170 0.8850 0.1255
0.3830 0.1150 0.6255
0.6170 0.6150 0.8745
0.8830 0.3850 0.3745
```

=====

This entry pairs a crystal structure of CdSbMo4C2 with its computed powder diffraction line list. Radiation: a wavelength of 1.5418 Å. Structure: a cell relaxed with GGA-PBE.

Top 6 peaks for 2θ from 5° to 70°, most intense first:
hkl  Position (°2θ)  intensity
1 0 3  38.30  100
1 0 0  32.71  23
1 1 0  58.38  20
0 0 6  39.36  19
1 0 6  52.08  14
2 0 0  68.54  3

Atomic structure:
```
CdSbMo4C2
1.0
3.1616 0.0000 0.0000
-1.5808 2.7380 0.0000
0.0000 0.0000 13.7352
Cd Sb Mo C
1 1 4 2
direct
0.0000 0.0000 0.0000
0.3333 0.6667 0.5000
0.0000 0.0000 0.3365
0.0000 0.0000 0.6635
0.3333 0.6667 0.1747
0.3333 0.6667 0.8253
0.6667 0.3333 0.2533
0.6667 0.3333 0.7467
```